Theoretical powder X-ray diffraction pattern of Al2CdCuH for Cu Ka, from a crystal structure in Alexandria, relaxed with GGA-PBE.
Intensities are scaled so that the largest is 100.

Principal peaks in the range 15 to 90 degrees two-theta, by angle:
16.77°, intensity 16.1, (1 0 0); 23.80°, intensity 53.1, (1 1 0); 31.74°, intensity 100.0, (1 0 1); 33.92°, intensity 72.1, (2 0 0); 47.13°, intensity 64.6, (2 1 1); 48.72°, intensity 24.9, (2 2 0); 59.33°, intensity 15.6, (3 0 1); 66.31°, intensity 18.8, (2 0 2); 70.12°, intensity 18.4, (3 2 1); 80.22°, intensity 12.5, (4 1 1)

Crystal structure
```
data_Al2CdCuH
_symmetry_space_group_name_H-M 'P 1'
_symmetry_Int_Tables_number 1
_symmetry_space_group_name_Hall 'P 1'
_cell_length_a 5.2861
_cell_length_b 5.2861
_cell_length_c 3.3328
_cell_angle_alpha 90.00
_cell_angle_beta 90.00
_cell_angle_gamma 90.00
loop_
_atom_site_label
_atom_site_fract_x
_atom_site_fract_y
_atom_site_fract_z
Al1 0.0000 0.5000 0.0000
Al2 0.5000 0.0000 0.0000
Cd1 0.0000 0.0000 0.0000
Cu1 0.5000 0.5000 0.5000
H1 0.0000 0.0000 0.5000
```